No. 1
The following is a theoretical powder X-ray diffraction pattern of LaI3. It was derived from a structure optimized by DFT (GGA-PBE), using Cu Kα.
Lines closer than 0.1° are merged.

Peak list (10 most intense, 10° ≤ 2θ ≤ 90°, in order of rising 2θ)
11.3°, I 85
26.4°, I 42
27.3°, I 49
27.8°, I 100
28.7°, I 73
33.8°, I 53
36.2°, I 28
38.9°, I 41
40.6°, I 30
50.5°, I 37

Atomic structure:
Cell lengths 8.121, 8.121, 10.163 Å; angles 90.00, 90.00, 148.22 degrees
Element x y z (fractional)
La1 0.241 0.759 0.750
La2 0.759 0.241 0.250
I1 0.155 0.845 0.067
I2 0.155 0.845 0.433
I3 0.405 0.595 0.250
I4 0.595 0.405 0.750
I5 0.845 0.155 0.567
I6 0.845 0.155 0.933

---

No. 2
The following is a theoretical powder X-ray diffraction pattern of Zr2Al3Zn. It was derived from a structure optimized by DFT (GGA-PBE), using Cu Kα.
Lines closer than 0.1° are merged.

Peak list (10 most intense, 10° ≤ 2θ ≤ 90°, in order of rising 2θ)
20.8°, I 24
33.6°, I 82
34.1°, I 30
39.7°, I 19
39.9°, I 100
40.3°, I 49
41.6°, I 20
64.3°, I 23
64.6°, I 23
70.6°, I 19

Atomic structure:
Cell lengths 5.262, 5.262, 5.262 Å; angles 60.90, 60.90, 60.90 degrees
Element x y z (fractional)
Zr1 0.125 0.125 0.125
Zr2 0.875 0.875 0.875
Al1 0.000 0.500 0.500
Al2 0.500 0.000 0.500
Al3 0.500 0.500 0.000
Zn1 0.500 0.500 0.500

---

No. 3
The following is a theoretical powder X-ray diffraction pattern of CaMg14Si. It was derived from a structure optimized by DFT (GGA-PBE), using Cu Kα.
Lines closer than 0.1° are merged.

Peak list (10 most intense, 10° ≤ 2θ ≤ 90°, in order of rising 2θ)
31.7°, I 12
32.8°, I 26
34.5°, I 42
36.2°, I 57
37.2°, I 100
48.3°, I 17
57.2°, I 18
63.6°, I 18
68.5°, I 20
71.4°, I 14

Atomic structure:
Cell lengths 10.400, 6.449, 6.449 Å; angles 57.88, 90.00, 90.00 degrees
Element x y z (fractional)
Ca1 0.000 0.000 0.000
Mg1 0.000 0.008 0.495
Mg2 0.000 0.495 0.008
Mg3 0.238 0.657 0.657
Mg4 0.253 0.165 0.655
Mg5 0.253 0.655 0.165
Mg6 0.261 0.163 0.163
Mg7 0.500 0.497 0.497
Mg8 0.500 0.500 0.992
Mg9 0.500 0.992 0.500
Mg10 0.500 0.995 0.995
Mg11 0.739 0.163 0.163
Mg12 0.747 0.165 0.655
Mg13 0.747 0.655 0.165
Mg14 0.762 0.657 0.657
Si1 0.000 0.484 0.484

---

No. 4
The following is a theoretical powder X-ray diffraction pattern of ThPt. It was derived from a structure optimized by DFT (GGA-PBE), using Cu Kα.
Lines closer than 0.1° are merged.

Peak list (10 most intense, 10° ≤ 2θ ≤ 90°, in order of rising 2θ)
31.3°, I 100
31.7°, I 40
37.7°, I 14
38.7°, I 69
40.2°, I 29
46.2°, I 19
52.1°, I 20
57.1°, I 16
62.9°, I 16
72.1°, I 27

Atomic structure:
Cell lengths 5.973, 5.973, 4.483 Å; angles 90.00, 90.00, 141.55 degrees
Element x y z (fractional)
Th1 0.136 0.864 0.750
Th2 0.864 0.136 0.250
Pt1 0.404 0.596 0.750
Pt2 0.596 0.404 0.250

---

No. 5
The following is a theoretical powder X-ray diffraction pattern of Tm2Ni12P7. It was derived from a structure optimized by DFT (GGA-PBE), using Cu Kα.
Lines closer than 0.1° are merged.

Peak list (10 most intense, 10° ≤ 2θ ≤ 90°, in order of rising 2θ)
26.9°, I 12
30.3°, I 10
34.5°, I 9
39.2°, I 100
40.0°, I 9
49.8°, I 17
53.8°, I 16
57.3°, I 10
76.4°, I 11
86.3°, I 11

Atomic structure:
Cell lengths 9.016, 9.016, 3.661 Å; angles 90.00, 90.00, 120.00 degrees
Element x y z (fractional)
Tm1 0.000 0.000 0.000
Tm2 0.333 0.667 0.500
Ni1 0.049 0.765 0.500
Ni2 0.102 0.394 0.000
Ni3 0.235 0.284 0.500
Ni4 0.293 0.898 0.000
Ni5 0.391 0.211 0.000
Ni6 0.544 0.116 0.500
Ni7 0.572 0.456 0.500
Ni8 0.606 0.707 0.000
Ni9 0.716 0.951 0.500
Ni10 0.789 0.180 0.000
Ni11 0.820 0.609 0.000
Ni12 0.884 0.428 0.500
P1 0.075 0.627 0.000
P2 0.260 0.039 0.500
P3 0.373 0.448 0.000
P4 0.552 0.925 0.000
P5 0.667 0.333 0.000
P6 0.779 0.740 0.500
P7 0.961 0.221 0.500